Computed powder XRD pattern of MgFe6O6F6 for Cu Kα, 1.54184 Å, from a DFT-relaxed cell (PBE+U, the Materials Project).
Neutral-atom scattering factors, no anomalous dispersion.

The 8 most intense peaks (2θ = 5–70°), low angle first:
2θ (°)	d_spacing	Rel. int.	index
24.25	3.671	54	0 1 -3
26.93	3.310	100	0 1 3
28.97	3.082	58	0 1 -4
33.72	2.658	68	1 -1 0
34.26	2.617	86	1 0 3
39.66	2.272	33	-1 1 3
52.82	1.733	40	-1 1 6
62.37	1.489	37	1 -3 1

Unit cell a=3.1252 b=5.0803 c=14.4480 alpha=95.92 beta=90.07 gamma=90.01
Atoms (fractional coordinates):
Mg1 0.0000 0.0000 0.0000
Fe1 0.4804 0.2814 0.3498
Fe2 0.4858 0.3743 0.6602
Fe3 0.4997 0.5172 0.9827
Fe4 0.9821 0.8151 0.4779
Fe5 0.9828 0.6707 0.2005
Fe6 0.9948 0.8723 0.8087
O1 0.4815 0.9700 0.4238
O2 0.4829 0.5145 0.2444
O3 0.4946 0.8268 0.9091
O4 0.9810 0.4626 0.4056
O5 0.9857 0.5443 0.7150
O6 0.9969 0.6903 0.0743
F1 0.0004 0.2810 0.9109
F2 0.4837 0.6545 0.5589
F3 0.4905 0.0725 0.7370
F4 0.5015 0.1930 0.0623
F5 0.9820 0.0433 0.2644
F6 0.9853 0.1509 0.5832

Computed powder XRD pattern of MgFe12O12F12 for Cu Kα, 1.54184 Å, from a DFT-relaxed cell (PBE+U, the Materials Project).
Neutral-atom scattering factors, no anomalous dispersion.

The 8 most intense peaks (2θ = 5–70°), low angle first:
2θ (°)	d_spacing	Rel. int.	index
25.78	3.456	92	0 2 -3
26.00	3.427	100	0 2 3
34.53	2.598	80	1 -2 0
34.62	2.591	27	1 2 0
39.27	2.294	21	1 -2 3
51.24	1.783	20	1 -2 6
51.45	1.776	45	1 -4 3
51.71	1.768	33	1 4 3

Unit cell a=3.0688 b=9.6859 c=14.6744 alpha=90.48 beta=90.06 gamma=90.07
Atoms (fractional coordinates):
Mg1 0.0000 0.0000 0.0000
Fe1 0.0047 0.7485 0.3410
Fe2 0.0097 0.2330 0.3427
Fe3 0.0122 0.2766 0.9686
Fe4 0.0134 0.7326 0.6643
Fe5 0.0147 0.2556 0.6585
Fe6 0.0210 0.7298 0.9926
Fe7 0.5021 0.9512 0.1776
Fe8 0.5086 0.9891 0.4836
Fe9 0.5099 0.9592 0.8124
Fe10 0.5120 0.4601 0.4935
Fe11 0.5155 0.4844 0.1704
Fe12 0.5190 0.4893 0.8068
O1 0.0022 0.8653 0.2325
O2 0.0088 0.0832 0.4321
O3 0.0099 0.8954 0.8832
O4 0.0122 0.3836 0.5548
O5 0.0185 0.5864 0.7496
O6 0.0188 0.4021 0.8784
O7 0.5044 0.8737 0.0525
O8 0.5053 0.8272 0.4008
O9 0.5090 0.1412 0.9525
O10 0.5101 0.3351 0.3878
O11 0.5132 0.8360 0.7113
O12 0.5152 0.3285 0.7199
F1 0.0043 0.0841 0.1229
F2 0.0092 0.5784 0.4301
F3 0.0101 0.8897 0.5564
F4 0.0125 0.0848 0.7588
F5 0.0138 0.3632 0.2261
F6 0.0170 0.5961 0.1038
F7 0.5050 0.6260 0.2766
F8 0.5071 0.1246 0.2710
F9 0.5119 0.1301 0.5967
F10 0.5133 0.6407 0.5837
F11 0.5157 0.3599 0.0526
F12 0.5242 0.6327 0.9218